1.
Starting from the PBE geometry in Alexandria, the XRD peak list of K4SrNb3O12 was calculated for Cu Kα (weighted mean of Kα1 and Kα2).
Neutral-atom scattering factors, no anomalous dispersion.

Cell and atoms:
```
data_K4SrNb3O12
_cell_length_a 8.484
_cell_length_b 8.484
_cell_length_c 8.484
_cell_angle_alpha 90.00
_cell_angle_beta 90.00
_cell_angle_gamma 90.00
_symmetry_space_group_name_H-M 'I m -3 m'
_symmetry_Int_Tables_number 229
_symmetry_space_group_name_Hall '-I 4 2 3'
loop_
_atom_site_label
_atom_site_type_symbol
_atom_site_fract_x
_atom_site_fract_y
_atom_site_fract_z
K1 K 0.250 0.250 0.250
Sr1 Sr 0.000 0.000 0.000
Nb1 Nb 0.000 0.000 0.500
O1 O 0.000 0.000 0.276
O2 O 0.000 0.250 0.500
```

Top 12 peaks for 2θ = 10–90°, by angle:
14.77 deg, intensity 1.1, (1 1 0); 20.94 deg, intensity 42.8, (2 0 0); 29.79 deg, intensity 100.0, (2 2 0); 42.63 deg, intensity 41.7, (4 0 0); 47.96 deg, intensity 17.5, (4 2 0); 52.87 deg, intensity 37.4, (4 2 2); 61.87 deg, intensity 23.8, (4 4 0); 66.08 deg, intensity 8.1, (6 0 0); 70.16 deg, intensity 16.9, (6 2 0); 78.04 deg, intensity 7.4, (4 4 4); 81.88 deg, intensity 3.8, (6 4 0); 85.69 deg, intensity 19.4, (6 4 2)

***

2.
Starting from the PBE geometry in Alexandria, the XRD peak list of Rb3AgGe4Se10O2 was calculated for Cu Kα (weighted mean of Kα1 and Kα2).
Neutral-atom scattering factors, no anomalous dispersion.

Cell and atoms:
```
data_Rb3AgGe4Se10O2
_cell_length_a 8.758
_cell_length_b 8.960
_cell_length_c 10.230
_cell_angle_alpha 114.98
_cell_angle_beta 111.21
_cell_angle_gamma 93.96
_symmetry_space_group_name_H-M 'P 1'
_symmetry_Int_Tables_number 1
loop_
_symmetry_equiv_pos_as_xyz
'x,y,z'
loop_
_atom_site_label
_atom_site_type_symbol
_atom_site_fract_x
_atom_site_fract_y
_atom_site_fract_z
Rb1 Rb 0.000 0.000 0.000
Rb2 Rb 0.067 0.593 0.412
Rb3 Rb 0.539 0.338 0.404
Ag1 Ag 0.758 0.864 0.209
Ge1 Ge 0.233 0.145 0.586
Ge2 Ge 0.470 0.002 0.889
Ge3 Ge 0.580 0.929 0.543
Ge4 Ge 0.692 0.389 0.881
Se1 Se 0.191 0.024 0.746
Se2 Se 0.306 0.944 0.387
Se3 Se 0.422 0.427 0.744
Se4 Se 0.446 0.914 0.064
Se5 Se 0.561 0.800 0.704
Se6 Se 0.629 0.701 0.337
Se7 Se 0.675 0.273 0.051
Se8 Se 0.791 0.200 0.693
Se9 Se 0.901 0.644 0.051
Se10 Se 0.984 0.185 0.407
O1 O 0.089 0.245 0.312
O2 O 0.763 0.614 0.442
```

Top 12 peaks for 2θ = 10–90°, by angle:
11.21 deg, intensity 48.9, (1 0 0); 11.29 deg, intensity 43.1, (0 1 0); 11.64 deg, intensity 48.6, (1 0 -1); 26.68 deg, intensity 67.9, (2 -1 1); 27.93 deg, intensity 100.0, (-2 1 2); 28.15 deg, intensity 71.7, (1 2 -3); 44.60 deg, intensity 26.6, (1 -3 4); 44.97 deg, intensity 16.9, (-4 2 1); 45.84 deg, intensity 15.1, (3 1 1); 45.94 deg, intensity 19.8, (-1 3 2); 46.92 deg, intensity 20.7, (2 4 -3); 47.61 deg, intensity 19.8, (3 1 -5)

***

3.
Starting from the PBE geometry in Alexandria, the XRD peak list of NdPRuN was calculated for Cu Kα (weighted mean of Kα1 and Kα2).
Neutral-atom scattering factors, no anomalous dispersion.

Cell and atoms:
```
data_NdPRuN
_cell_length_a 3.976
_cell_length_b 3.976
_cell_length_c 7.936
_cell_angle_alpha 90.00
_cell_angle_beta 90.00
_cell_angle_gamma 90.00
_symmetry_space_group_name_H-M 'P 4/n m m'
_symmetry_Int_Tables_number 129
loop_
_symmetry_equiv_pos_as_xyz
'x,y,z'
'-x,-y,-z'
'-y+1/2,x,z'
'y+1/2,-x,-z'
'-x+1/2,-y+1/2,z'
'x+1/2,y+1/2,-z'
'y,-x+1/2,z'
'-y,x+1/2,-z'
'x+1/2,-y,-z'
'-x+1/2,y,z'
'-y,-x,-z'
'y,x,z'
'-x,y+1/2,-z'
'x,-y+1/2,z'
'y+1/2,x+1/2,-z'
'-y+1/2,-x+1/2,z'
loop_
_atom_site_label
_atom_site_type_symbol
_atom_site_fract_x
_atom_site_fract_y
_atom_site_fract_z
Nd1 Nd 0.250 0.250 0.168
P1 P 0.250 0.250 0.651
Ru1 Ru 0.250 0.750 0.500
N1 N 0.250 0.250 0.864
```

Top 12 peaks for 2θ = 10–90°, by angle:
11.15 deg, intensity 16.2, (0 0 1); 25.05 deg, intensity 41.2, (1 0 1); 31.86 deg, intensity 66.9, (1 0 2); 33.84 deg, intensity 100.0, (0 0 3); 39.27 deg, intensity 57.8, (1 1 2); 45.63 deg, intensity 44.3, (2 0 0); 51.47 deg, intensity 15.2, (1 0 4); 56.76 deg, intensity 45.4, (1 1 4); 58.04 deg, intensity 27.1, (2 0 3); 76.76 deg, intensity 23.4, (2 2 3); 80.06 deg, intensity 14.0, (3 1 2); 88.84 deg, intensity 15.5, (2 0 6)

***

4.
Starting from the PBE geometry in Alexandria, the XRD peak list of Tb2Sm2DySc2 was calculated for Cu Kα (weighted mean of Kα1 and Kα2).
Neutral-atom scattering factors, no anomalous dispersion.

Cell and atoms:
```
data_Tb2Sm2DySc2
_cell_length_a 11.425
_cell_length_b 3.410
_cell_length_c 11.176
_cell_angle_alpha 90.00
_cell_angle_beta 100.17
_cell_angle_gamma 90.00
_symmetry_space_group_name_H-M 'C 1 2/m 1'
_symmetry_Int_Tables_number 12
loop_
_symmetry_equiv_pos_as_xyz
'x,y,z'
'-x,-y,-z'
'-x,y,-z'
'x,-y,z'
'x+1/2,y+1/2,z'
'-x+1/2,-y+1/2,-z'
'-x+1/2,y+1/2,-z'
'x+1/2,-y+1/2,z'
loop_
_atom_site_label
_atom_site_type_symbol
_atom_site_fract_x
_atom_site_fract_y
_atom_site_fract_z
Tb1 Tb 0.147 0.000 0.068
Sm1 Sm 0.244 0.500 0.350
Dy1 Dy 0.000 0.500 0.500
Sc1 Sc 0.061 0.500 0.803
```

Top 12 peaks for 2θ = 10–90°, by angle:
20.50 deg, intensity 20.7, (2 0 -2); 28.94 deg, intensity 32.6, (1 1 1); 31.15 deg, intensity 43.3, (1 1 -2); 31.40 deg, intensity 100.0, (2 0 3); 32.62 deg, intensity 29.8, (1 1 2); 33.66 deg, intensity 40.6, (2 0 -4); 35.59 deg, intensity 28.0, (3 1 0); 35.89 deg, intensity 17.3, (1 1 -3); 37.42 deg, intensity 22.0, (3 1 -2); 37.52 deg, intensity 23.8, (3 1 1); 51.27 deg, intensity 15.7, (1 1 5); 63.60 deg, intensity 27.3, (2 2 3)

***

5.
Starting from the PBE geometry in Alexandria, the XRD peak list of K3LiZn2F9 was calculated for Cu Kα (weighted mean of Kα1 and Kα2).
Neutral-atom scattering factors, no anomalous dispersion.

Cell and atoms:
```
data_K3LiZn2F9
_cell_length_a 5.7584
_cell_length_b 5.7584
_cell_length_c 7.0921
_cell_angle_alpha 90.00
_cell_angle_beta 90.00
_cell_angle_gamma 120.00
_symmetry_space_group_name_H-M 'P -3 m 1'
_symmetry_Int_Tables_number 164
_symmetry_space_group_name_Hall '-P 3 2"'
loop_
_atom_site_label
_atom_site_type_symbol
_atom_site_fract_x
_atom_site_fract_y
_atom_site_fract_z
K1 K 0.0000 0.0000 0.0000
K2 K 0.3333 0.6667 0.6539
Li1 Li 0.0000 0.0000 0.5000
Zn1 Zn 0.3333 0.6667 0.1709
F1 F 0.0000 0.5000 0.0000
F2 F 0.1685 0.3370 0.3257
```

Top 12 peaks for 2θ = 10–90°, by angle:
12.48 deg, intensity 15.7, (0 0 1); 17.79 deg, intensity 25.8, (1 0 0); 21.79 deg, intensity 46.9, (1 0 1); 30.94 deg, intensity 71.5, (0 1 2); 31.06 deg, intensity 63.9, (1 1 0); 38.26 deg, intensity 21.4, (0 2 1); 44.41 deg, intensity 100.0, (2 0 2); 54.96 deg, intensity 12.2, (1 0 4); 55.21 deg, intensity 38.2, (3 0 0); 64.49 deg, intensity 27.1, (0 2 4); 64.76 deg, intensity 26.7, (2 2 0); 81.91 deg, intensity 12.4, (0 4 2)

***

6.
Starting from the PBE geometry in Alexandria, the XRD peak list of PrSm2Ni6 was calculated for Cu Kα (weighted mean of Kα1 and Kα2).
Neutral-atom scattering factors, no anomalous dispersion.

Cell and atoms:
```
data_PrSm2Ni6
_cell_length_a 6.9526
_cell_length_b 6.9526
_cell_length_c 3.9574
_cell_angle_alpha 90.00
_cell_angle_beta 90.00
_cell_angle_gamma 120.00
_symmetry_space_group_name_H-M 'P 6/m m m'
_symmetry_Int_Tables_number 191
_symmetry_space_group_name_Hall '-P 6 2'
loop_
_atom_site_label
_atom_site_type_symbol
_atom_site_fract_x
_atom_site_fract_y
_atom_site_fract_z
Pr1 Pr 0.0000 0.0000 0.0000
Sm1 Sm 0.3333 0.6667 0.0000
Ni1 Ni 0.0000 0.3346 0.5000
```

Top 12 peaks for 2θ = 10–90°, by angle:
25.63 deg, intensity 15.5, (1 1 0); 34.34 deg, intensity 100.0, (1 1 1); 45.18 deg, intensity 39.1, (3 0 0); 45.86 deg, intensity 12.5, (0 0 2); 52.66 deg, intensity 2.3, (2 2 0); 53.27 deg, intensity 4.5, (1 1 2); 57.95 deg, intensity 21.6, (2 2 1); 66.34 deg, intensity 23.8, (3 0 2); 76.37 deg, intensity 18.8, (4 1 1); 77.37 deg, intensity 9.0, (1 1 3); 83.41 deg, intensity 6.2, (3 3 0); 89.55 deg, intensity 2.4, (4 1 2)

***

7.
Starting from the PBE geometry in Alexandria, the XRD peak list of YbAl8Co2 was calculated for Cu Kα (weighted mean of Kα1 and Kα2).
Neutral-atom scattering factors, no anomalous dispersion.

Cell and atoms:
```
data_YbAl8Co2
_cell_length_a 12.398
_cell_length_b 14.361
_cell_length_c 3.962
_cell_angle_alpha 90.00
_cell_angle_beta 90.00
_cell_angle_gamma 90.00
_symmetry_space_group_name_H-M 'P b a m'
_symmetry_Int_Tables_number 55
loop_
_symmetry_equiv_pos_as_xyz
'x,y,z'
'-x,-y,-z'
'-x,-y,z'
'x,y,-z'
'x+1/2,-y+1/2,-z'
'-x+1/2,y+1/2,z'
'-x+1/2,y+1/2,-z'
'x+1/2,-y+1/2,z'
loop_
_atom_site_label
_atom_site_type_symbol
_atom_site_fract_x
_atom_site_fract_y
_atom_site_fract_z
Yb1 Yb 0.159 0.181 0.000
Al1 Al 0.000 0.000 0.000
Al2 Al 0.000 0.500 0.500
Al3 Al 0.024 0.867 0.500
Al4 Al 0.048 0.319 0.500
Al5 Al 0.096 0.746 0.000
Al6 Al 0.161 0.621 0.500
Al7 Al 0.162 0.455 0.000
Al8 Al 0.168 0.009 0.500
Al9 Al 0.236 0.826 0.500
Co1 Co 0.034 0.593 0.000
Co2 Co 0.151 0.902 0.000
```

Top 12 peaks for 2θ = 10–90°, by angle:
22.41 deg, intensity 97.9, (0 0 1); 25.83 deg, intensity 34.9, (1 4 0); 28.53 deg, intensity 34.9, (3 3 0); 31.92 deg, intensity 29.2, (3 1 1); 34.47 deg, intensity 87.7, (1 4 1); 36.60 deg, intensity 100.0, (3 3 1); 37.36 deg, intensity 40.8, (4 1 1); 44.40 deg, intensity 37.1, (5 4 0); 45.80 deg, intensity 46.1, (0 0 2); 46.64 deg, intensity 40.1, (2 7 0); 50.31 deg, intensity 28.4, (5 4 1); 52.34 deg, intensity 26.0, (2 7 1)

***

8.
Starting from the PBE geometry in Alexandria, the XRD peak list of Tb3UN4 was calculated for Cu Kα (weighted mean of Kα1 and Kα2).
Neutral-atom scattering factors, no anomalous dispersion.

Cell and atoms:
```
data_Tb3UN4
_cell_length_a 6.976
_cell_length_b 9.783
_cell_length_c 3.479
_cell_angle_alpha 90.00
_cell_angle_beta 90.00
_cell_angle_gamma 90.00
_symmetry_space_group_name_H-M 'C m m m'
_symmetry_Int_Tables_number 65
_symmetry_space_group_name_Hall '-C 2 2'
loop_
_atom_site_label
_atom_site_type_symbol
_atom_site_fract_x
_atom_site_fract_y
_atom_site_fract_z
Tb1 Tb 0.000 0.000 0.000
Tb2 Tb 0.250 0.250 0.500
U1 U 0.000 0.500 0.000
N1 N 0.000 0.265 0.000
N2 N 0.237 0.500 0.500
```

Top 12 peaks for 2θ = 10–90°, by angle:
31.53 deg, intensity 100.0, (2 2 0); 36.48 deg, intensity 46.5, (2 0 1); 36.75 deg, intensity 22.7, (0 4 0); 52.47 deg, intensity 8.1, (4 0 0); 52.61 deg, intensity 8.0, (0 0 2); 52.74 deg, intensity 31.8, (2 4 1); 62.58 deg, intensity 30.3, (4 2 1); 62.94 deg, intensity 15.0, (2 6 0); 65.77 deg, intensity 8.1, (4 4 0); 65.89 deg, intensity 8.1, (0 4 2); 86.38 deg, intensity 13.3, (4 6 1); 88.97 deg, intensity 11.3, (2 0 3)